1.
Tb5Sm2HoIn: calculated XRD peak list (Cu Kα (weighted mean of Kα1 and Kα2)), based on a DFT-relaxed cell (PBE, Alexandria).
Lines closer than 0.1° are merged.

The 10 most intense peaks (15° ≤ 2θ ≤ 90°), in order of falling intensity:
| 2θ (°) | I (rel.) |
| --- | --- |
| 32.50 | 1000 |
| 33.20 | 322 |
| 30.60 | 307 |
| 58.88 | 183 |
| 33.87 | 157 |
| 27.91 | 139 |
| 48.16 | 118 |
| 62.23 | 96 |
| 27.08 | 95 |
| 59.43 | 95 |

Cell and atoms:
abc: 10.417 10.417 10.586
angles: 90.00 90.00 149.98
Sites, in units of the cell vectors:
Tb 0.000 0.000 0.000
Tb 0.000 0.000 0.500
Tb 0.117 0.883 0.750
Tb 0.210 0.790 0.051
Tb 0.210 0.790 0.449
Tb 0.487 0.513 0.750
Tb 0.513 0.487 0.250
Tb 0.790 0.210 0.551
Tb 0.790 0.210 0.949
Tb 0.883 0.117 0.250
Sm 0.384 0.616 0.043
Sm 0.384 0.616 0.457
Sm 0.616 0.384 0.543
Sm 0.616 0.384 0.957
Ho 0.294 0.706 0.750
Ho 0.706 0.294 0.250
In 0.095 0.905 0.250
In 0.905 0.095 0.750

=====

2.
Ho5In2Sn: calculated XRD peak list (Cu Kα (weighted mean of Kα1 and Kα2)), based on a DFT-relaxed cell (PBE, Alexandria).
Lines closer than 0.1° are merged.

The 10 most intense peaks (15° ≤ 2θ ≤ 90°), in order of falling intensity:
| 2θ (°) | I (rel.) |
| --- | --- |
| 32.51 | 1000 |
| 37.38 | 343 |
| 64.37 | 280 |
| 54.64 | 230 |
| 38.36 | 160 |
| 65.69 | 132 |
| 53.90 | 120 |
| 89.96 | 119 |
| 68.08 | 119 |
| 88.76 | 61 |

Cell and atoms:
abc: 6.721 6.721 6.721
angles: 119.18 119.18 91.42
Sites, in units of the cell vectors:
Ho 0.000 0.000 0.000
Ho 0.000 0.000 0.499
Ho 0.000 0.499 0.000
Ho 0.499 0.000 0.000
Ho 0.501 0.501 0.501
In 0.000 0.500 0.500
In 0.500 0.000 0.500
Sn 0.500 0.500 0.000

=====

3.
Ho3InSn3: calculated XRD peak list (Cu Kα (weighted mean of Kα1 and Kα2)), based on a DFT-relaxed cell (PBE, Alexandria).
Lines closer than 0.1° are merged.

The 10 most intense peaks (15° ≤ 2θ ≤ 90°), in order of falling intensity:
| 2θ (°) | I (rel.) |
| --- | --- |
| 35.16 | 1000 |
| 31.74 | 318 |
| 31.25 | 269 |
| 58.77 | 232 |
| 45.14 | 197 |
| 65.46 | 191 |
| 55.61 | 155 |
| 67.52 | 134 |
| 85.22 | 76 |
| 66.28 | 54 |

Cell and atoms:
abc: 8.745 8.745 5.639
angles: 90.00 90.00 120.00
Sites, in units of the cell vectors:
Ho 0.091 0.446 0.250
Ho 0.355 0.909 0.250
Ho 0.446 0.355 0.750
Ho 0.554 0.645 0.250
Ho 0.645 0.091 0.750
Ho 0.909 0.554 0.750
In 0.333 0.667 0.750
In 0.667 0.333 0.250
Sn 0.053 0.254 0.750
Sn 0.201 0.947 0.750
Sn 0.254 0.201 0.250
Sn 0.746 0.799 0.750
Sn 0.799 0.053 0.250
Sn 0.947 0.746 0.250

=====

4.
Ho2In3Sn3: calculated XRD peak list (Cu Kα (weighted mean of Kα1 and Kα2)), based on a DFT-relaxed cell (PBE, Alexandria).
Lines closer than 0.1° are merged.

The 10 most intense peaks (15° ≤ 2θ ≤ 90°), in order of falling intensity:
| 2θ (°) | I (rel.) |
| --- | --- |
| 33.29 | 1000 |
| 37.14 | 186 |
| 39.17 | 161 |
| 39.53 | 156 |
| 64.52 | 149 |
| 67.27 | 131 |
| 67.76 | 128 |
| 55.08 | 119 |
| 69.90 | 117 |
| 55.36 | 117 |

Cell and atoms:
abc: 4.600 4.841 9.119
angles: 90.00 90.00 90.00
Sites, in units of the cell vectors:
Ho 0.000 0.000 0.249
Ho 0.000 0.000 0.751
In 0.000 0.500 0.500
In 0.500 0.500 0.254
In 0.500 0.500 0.746
Sn 0.000 0.500 0.000
Sn 0.500 0.000 0.000
Sn 0.500 0.000 0.500

=====

5.
Ho3In2Sn: calculated XRD peak list (Cu Kα (weighted mean of Kα1 and Kα2)), based on a DFT-relaxed cell (PBE, Alexandria).
Lines closer than 0.1° are merged.

The 10 most intense peaks (15° ≤ 2θ ≤ 90°), in order of falling intensity:
| 2θ (°) | I (rel.) |
| --- | --- |
| 33.81 | 1000 |
| 33.62 | 200 |
| 60.40 | 150 |
| 60.60 | 148 |
| 60.25 | 146 |
| 48.37 | 144 |
| 80.83 | 96 |
| 71.16 | 91 |
| 48.80 | 71 |
| 81.48 | 65 |

Cell and atoms:
abc: 8.426 8.426 3.732
angles: 90.00 90.00 143.24
Sites, in units of the cell vectors:
Ho 0.000 0.000 0.000
Ho 0.337 0.663 0.000
Ho 0.663 0.337 0.000
In 0.171 0.829 0.500
In 0.829 0.171 0.500
Sn 0.500 0.500 0.500

=====

6.
Ho5InSn2: calculated XRD peak list (Cu Kα (weighted mean of Kα1 and Kα2)), based on a DFT-relaxed cell (PBE, Alexandria).
Lines closer than 0.1° are merged.

The 10 most intense peaks (15° ≤ 2θ ≤ 90°), in order of falling intensity:
| 2θ (°) | I (rel.) |
| --- | --- |
| 32.61 | 1000 |
| 37.43 | 345 |
| 64.50 | 284 |
| 54.87 | 230 |
| 38.61 | 159 |
| 66.09 | 132 |
| 53.98 | 121 |
| 68.31 | 120 |
| 88.93 | 62 |
| 79.85 | 39 |

Cell and atoms:
abc: 6.696 6.696 6.696
angles: 119.02 119.02 91.70
Sites, in units of the cell vectors:
Ho 0.000 0.000 0.000
Ho 0.000 0.000 0.500
Ho 0.000 0.500 0.000
Ho 0.500 0.000 0.000
Ho 0.500 0.500 0.500
In 0.500 0.500 0.000
Sn 0.000 0.500 0.500
Sn 0.500 0.000 0.500

=====

7.
Tb8HoIn6: calculated XRD peak list (Cu Kα (weighted mean of Kα1 and Kα2)), based on a DFT-relaxed cell (PBE, Alexandria).
Lines closer than 0.1° are merged.

The 10 most intense peaks (15° ≤ 2θ ≤ 90°), in order of falling intensity:
| 2θ (°) | I (rel.) |
| --- | --- |
| 33.95 | 1000 |
| 34.32 | 951 |
| 23.96 | 365 |
| 61.23 | 360 |
| 49.05 | 353 |
| 60.52 | 182 |
| 61.46 | 174 |
| 82.35 | 156 |
| 81.72 | 155 |
| 71.45 | 111 |

Cell and atoms:
abc: 8.342 8.342 8.342
angles: 65.71 65.71 65.71
Sites, in units of the cell vectors:
Tb 0.054 0.720 0.387
Tb 0.167 0.167 0.167
Tb 0.280 0.613 0.946
Tb 0.387 0.054 0.720
Tb 0.613 0.946 0.280
Tb 0.720 0.387 0.054
Tb 0.833 0.833 0.833
Tb 0.946 0.280 0.613
Ho 0.500 0.500 0.500
In 0.110 0.442 0.774
In 0.226 0.890 0.558
In 0.442 0.774 0.110
In 0.558 0.226 0.890
In 0.774 0.110 0.442
In 0.890 0.558 0.226

=====

8.
Tb3Ho3In: calculated XRD peak list (Cu Kα (weighted mean of Kα1 and Kα2)), based on a DFT-relaxed cell (PBE, Alexandria).
Lines closer than 0.1° are merged.

The 10 most intense peaks (15° ≤ 2θ ≤ 90°), in order of falling intensity:
| 2θ (°) | I (rel.) |
| --- | --- |
| 32.07 | 1000 |
| 33.81 | 856 |
| 34.61 | 640 |
| 30.44 | 446 |
| 34.82 | 380 |
| 27.21 | 359 |
| 49.91 | 275 |
| 60.44 | 238 |
| 30.09 | 224 |
| 34.39 | 199 |

Cell and atoms:
abc: 13.248 5.183 12.688
angles: 90.00 90.00 90.00
Sites, in units of the cell vectors:
Tb 0.087 0.250 0.190
Tb 0.175 0.750 0.767
Tb 0.187 0.750 0.370
Tb 0.313 0.250 0.870
Tb 0.325 0.250 0.267
Tb 0.413 0.750 0.690
Tb 0.587 0.250 0.310
Tb 0.675 0.750 0.733
Tb 0.687 0.750 0.130
Tb 0.813 0.250 0.630
Tb 0.825 0.250 0.233
Tb 0.913 0.750 0.810
Ho 0.019 0.250 0.433
Ho 0.054 0.250 0.929
Ho 0.224 0.750 0.056
Ho 0.276 0.250 0.556
Ho 0.446 0.750 0.429
Ho 0.481 0.750 0.933
Ho 0.519 0.250 0.067
Ho 0.554 0.250 0.571
Ho 0.724 0.750 0.444
Ho 0.776 0.250 0.944
Ho 0.946 0.750 0.071
Ho 0.981 0.750 0.567
In 0.054 0.250 0.684
In 0.446 0.750 0.184
In 0.554 0.250 0.816
In 0.946 0.750 0.316

=====

9.
Tb12Ho2In: calculated XRD peak list (Cu Kα (weighted mean of Kα1 and Kα2)), based on a DFT-relaxed cell (PBE, Alexandria).
Lines closer than 0.1° are merged.

The 10 most intense peaks (15° ≤ 2θ ≤ 90°), in order of falling intensity:
| 2θ (°) | I (rel.) |
| --- | --- |
| 31.79 | 1000 |
| 31.90 | 994 |
| 30.78 | 323 |
| 34.16 | 303 |
| 31.40 | 250 |
| 30.12 | 234 |
| 35.44 | 213 |
| 45.29 | 187 |
| 34.03 | 185 |
| 33.40 | 174 |

Cell and atoms:
abc: 6.660 6.660 23.985
angles: 94.42 94.42 115.54
Sites, in units of the cell vectors:
Tb 0.004 0.004 0.400
Tb 0.086 0.609 0.943
Tb 0.103 0.103 0.928
Tb 0.117 0.574 0.436
Tb 0.142 0.711 0.693
Tb 0.221 0.703 0.175
Tb 0.289 0.858 0.307
Tb 0.297 0.779 0.825
Tb 0.391 0.914 0.057
Tb 0.424 0.424 0.080
Tb 0.426 0.883 0.564
Tb 0.484 0.484 0.350
Tb 0.516 0.516 0.650
Tb 0.574 0.117 0.436
Tb 0.576 0.576 0.920
Tb 0.609 0.086 0.943
Tb 0.703 0.221 0.175
Tb 0.711 0.142 0.693
Tb 0.779 0.297 0.825
Tb 0.858 0.289 0.307
Tb 0.883 0.426 0.564
Tb 0.897 0.897 0.072
Tb 0.914 0.391 0.057
Tb 0.996 0.996 0.600
Ho 0.224 0.224 0.213
Ho 0.252 0.252 0.766
Ho 0.748 0.748 0.234
Ho 0.776 0.776 0.787
In 0.309 0.309 0.518
In 0.691 0.691 0.482

=====

10.
Tb5HoIn: calculated XRD peak list (Cu Kα (weighted mean of Kα1 and Kα2)), based on a DFT-relaxed cell (PBE, Alexandria).
Lines closer than 0.1° are merged.

The 10 most intense peaks (15° ≤ 2θ ≤ 90°), in order of falling intensity:
| 2θ (°) | I (rel.) |
| --- | --- |
| 32.27 | 1000 |
| 32.86 | 634 |
| 32.72 | 608 |
| 28.36 | 452 |
| 52.73 | 301 |
| 28.19 | 274 |
| 40.05 | 251 |
| 57.19 | 171 |
| 38.61 | 165 |
| 68.86 | 164 |

Cell and atoms:
abc: 7.071 7.071 7.071
angles: 127.15 125.78 79.13
Sites, in units of the cell vectors:
Tb 0.000 0.000 0.000
Tb 0.471 0.214 0.743
Tb 0.471 0.728 0.257
Tb 0.518 0.251 0.268
Tb 0.983 0.251 0.732
Ho 0.131 0.631 0.500
In 0.724 0.724 0.000

=====

11.
Tb2Ho3In7: calculated XRD peak list (Cu Kα (weighted mean of Kα1 and Kα2)), based on a DFT-relaxed cell (PBE, Alexandria).
Lines closer than 0.1° are merged.

The 10 most intense peaks (15° ≤ 2θ ≤ 90°), in order of falling intensity:
| 2θ (°) | I (rel.) |
| --- | --- |
| 34.58 | 1000 |
| 33.93 | 281 |
| 35.03 | 267 |
| 49.57 | 203 |
| 61.13 | 188 |
| 62.55 | 175 |
| 29.91 | 110 |
| 72.94 | 89 |
| 83.08 | 79 |
| 61.67 | 74 |

Cell and atoms:
abc: 13.059 13.059 5.284
angles: 90.00 90.00 157.38
Sites, in units of the cell vectors:
Tb 0.148 0.852 0.000
Tb 0.852 0.148 0.000
Ho 0.349 0.651 0.500
Ho 0.500 0.500 0.500
Ho 0.651 0.349 0.500
In 0.000 0.000 0.000
In 0.077 0.923 0.500
In 0.277 0.723 0.000
In 0.427 0.573 0.000
In 0.573 0.427 0.000
In 0.723 0.277 0.000
In 0.923 0.077 0.500

=====

12.
Tb3Ho8In2: calculated XRD peak list (Cu Kα (weighted mean of Kα1 and Kα2)), based on a DFT-relaxed cell (PBE, Alexandria).
Lines closer than 0.1° are merged.

The 10 most intense peaks (15° ≤ 2θ ≤ 90°), in order of falling intensity:
| 2θ (°) | I (rel.) |
| --- | --- |
| 33.58 | 1000 |
| 31.27 | 389 |
| 32.57 | 379 |
| 58.76 | 201 |
| 23.85 | 152 |
| 33.27 | 132 |
| 64.71 | 130 |
| 44.35 | 112 |
| 47.24 | 100 |
| 27.20 | 91 |

Cell and atoms:
abc: 8.168 5.499 10.047
angles: 90.00 113.96 90.00
Sites, in units of the cell vectors:
Tb 0.000 0.000 0.000
Tb 0.298 0.500 0.000
Tb 0.702 0.500 0.000
Ho 0.130 0.500 0.260
Ho 0.176 0.000 0.765
Ho 0.323 0.500 0.645
Ho 0.411 0.000 0.235
Ho 0.589 0.000 0.765
Ho 0.677 0.500 0.355
Ho 0.824 0.000 0.235
Ho 0.870 0.500 0.740
In 0.232 0.000 0.464
In 0.768 0.000 0.536